# 1
Theoretical powder diffractogram
Compound: YFeO3
Radiation: CuKα
Structure: a GGA+U-relaxed structure

Structure:
```
data_YFeO3
_chemical_formula_sum 'Y1 Fe1 O3'
_cell_length_a 3.883
_cell_length_b 3.883
_cell_length_c 3.883
_cell_angle_alpha 90.00
_cell_angle_beta 90.00
_cell_angle_gamma 90.00
_space_group_name_H-M_alt 'P m -3 m'
_space_group_IT_number 221
_space_group_name_Hall '-P 4 2 3'
loop_
_atom_site_label
_atom_site_type_symbol
_atom_site_fract_x
_atom_site_fract_y
_atom_site_fract_z
_atom_site_occupancy
Y1 Y 0.000 0.000 0.000 1
Fe1 Fe 0.500 0.500 0.500 1
O1 O 0.000 0.500 0.500 1
```

Top 11 peaks for 15 to 90 degrees two-theta, by angle:
(hkl)	2theta	d_spacing	I/Imax
1 0 0	22.90	3.883	1
1 1 0	32.61	2.746	100
1 1 1	40.22	2.242	13
2 0 0	46.79	1.942	38
2 1 0	52.71	1.737	1
2 1 1	58.19	1.585	37
2 2 0	68.32	1.373	21
3 0 0	73.11	1.294	1
3 1 0	77.78	1.228	15
3 1 1	82.36	1.171	4
2 2 2	86.90	1.121	7

# 2
Theoretical powder diffractogram
Compound: Te7WBr5O
Radiation: CuKα
Structure: a GGA+U-relaxed structure

Structure:
```
data_Te7WBr5O
_chemical_formula_sum 'Te28 W4 Br20 O4'
_cell_length_a 27.611
_cell_length_b 8.710
_cell_length_c 7.773
_cell_angle_alpha 90.00
_cell_angle_beta 90.00
_cell_angle_gamma 90.00
_space_group_name_H-M_alt 'P c c a'
_space_group_IT_number 54
_space_group_name_Hall '-P 2a 2ac'
loop_
_atom_site_label
_atom_site_type_symbol
_atom_site_fract_x
_atom_site_fract_y
_atom_site_fract_z
_atom_site_occupancy
Te1 Te 0.000 0.000 0.000 1
Te2 Te 0.068 0.262 0.045 1
Te3 Te 0.082 0.212 0.415 1
Te4 Te 0.137 0.055 0.916 1
W1 W 0.250 0.500 0.261 1
Br1 Br 0.000 0.485 0.750 1
Br2 Br 0.159 0.442 0.752 1
Br3 Br 0.232 0.212 0.255 1
O1 O 0.250 0.500 0.007 1
```

Top 12 peaks for 15 to 90 degrees two-theta, by angle:
(hkl)	2theta	d_spacing	I/Imax
4 1 0	16.39	5.410	44
2 0 2	23.78	3.741	97
0 1 2	25.09	3.549	84
4 0 2	26.32	3.387	26
7 1 1	27.34	3.261	54
6 2 0	28.22	3.163	97
8 2 0	33.11	2.705	100
8 1 2	36.31	2.474	51
6 3 0	36.61	2.454	29
0 3 2	38.72	2.325	26
0 4 0	41.47	2.178	28
8 3 2	47.10	1.930	54

# 3
Theoretical powder diffractogram
Compound: SrSmFeSnO6
Radiation: CuKα
Structure: a GGA+U-relaxed structure

Structure:
```
data_SrSmFeSnO6
_chemical_formula_sum 'Sr4 Sm4 Fe4 Sn4 O24'
_cell_length_a 8.030
_cell_length_b 8.030
_cell_length_c 8.030
_cell_angle_alpha 90.00
_cell_angle_beta 90.00
_cell_angle_gamma 90.00
_space_group_name_H-M_alt 'F -4 3 m'
_space_group_IT_number 216
_space_group_name_Hall 'F -4 2 3'
loop_
_atom_site_label
_atom_site_type_symbol
_atom_site_fract_x
_atom_site_fract_y
_atom_site_fract_z
_atom_site_occupancy
Sr1 Sr 0.000 0.000 0.000 1
Sm1 Sm 0.000 0.000 0.500 1
Fe1 Fe 0.250 0.250 0.250 1
Sn1 Sn 0.250 0.250 0.750 1
O1 O 0.003 0.250 0.250 1
```

Top 12 peaks for 15 to 90 degrees two-theta, by angle:
(hkl)	2theta	d_spacing	I/Imax
1 1 1	19.14	4.636	11
2 2 0	31.51	2.839	100
3 1 1	37.13	2.421	7
2 2 2	38.85	2.318	6
4 0 0	45.16	2.008	32
3 3 1	49.47	1.842	3
4 2 2	56.11	1.639	40
3 3 3	59.85	1.545	2
4 4 0	65.78	1.420	20
5 3 1	69.21	1.357	2
6 2 0	74.77	1.270	18
4 4 4	83.38	1.159	7

# 4
Theoretical powder diffractogram
Compound: MgMn4Ni2O12
Radiation: CuKα
Structure: a GGA+U-relaxed structure

Structure:
```
data_MgMn4Ni2O12
_chemical_formula_sum 'Mg1 Mn4 Ni2 O12'
_cell_length_a 5.010
_cell_length_b 5.041
_cell_length_c 9.913
_cell_angle_alpha 95.00
_cell_angle_beta 93.96
_cell_angle_gamma 119.59
_space_group_name_H-M_alt 'P 1'
_space_group_IT_number 1
_space_group_name_Hall 'P 1'
loop_
_atom_site_label
_atom_site_type_symbol
_atom_site_fract_x
_atom_site_fract_y
_atom_site_fract_z
_atom_site_occupancy
Mg1 Mg 0.000 0.000 0.000 1
Mn1 Mn 0.058 0.732 0.254 1
Mn2 Mn 0.251 0.595 0.754 1
Mn3 Mn 0.595 0.267 0.754 1
Mn4 Mn 0.728 0.063 0.255 1
Ni1 Ni 0.394 0.399 0.254 1
Ni2 Ni 0.917 0.924 0.733 1
O1 O 0.032 0.353 0.149 1
O2 O 0.064 0.069 0.356 1
O3 O 0.242 0.897 0.652 1
O4 O 0.265 0.273 0.852 1
O5 O 0.352 0.034 0.149 1
O6 O 0.423 0.762 0.348 1
O7 O 0.545 0.549 0.653 1
O8 O 0.638 0.960 0.852 1
O9 O 0.728 0.731 0.140 1
O10 O 0.756 0.430 0.348 1
O11 O 0.894 0.268 0.648 1
O12 O 0.955 0.626 0.862 1
```

Top 12 peaks for 15 to 90 degrees two-theta, by angle:
(hkl)	2theta	d_spacing	I/Imax
0 0 2	18.12	4.896	100
1 1 0	35.96	2.497	9
1 -2 1	36.16	2.484	9
-2 1 1	36.49	2.463	8
1 1 -2	37.78	2.381	22
1 1 2	43.15	2.097	8
1 -2 3	43.53	2.079	8
-2 1 3	44.08	2.054	8
2 -1 3	47.32	1.921	9
-1 2 3	47.56	1.912	8
1 1 -4	47.82	1.902	8
3 -3 0	64.36	1.448	6

# 5
Theoretical powder diffractogram
Compound: CrFeO4
Radiation: CuKα
Structure: a GGA+U-relaxed structure

Structure:
```
data_CrFeO4
_chemical_formula_sum 'Cr4 Fe4 O16'
_cell_length_a 5.588
_cell_length_b 8.399
_cell_length_c 6.333
_cell_angle_alpha 90.00
_cell_angle_beta 90.00
_cell_angle_gamma 90.00
_space_group_name_H-M_alt 'C m c m'
_space_group_IT_number 63
_space_group_name_Hall '-C 2c 2'
loop_
_atom_site_label
_atom_site_type_symbol
_atom_site_fract_x
_atom_site_fract_y
_atom_site_fract_z
_atom_site_occupancy
Cr1 Cr 0.000 0.144 0.250 1
Fe1 Fe 0.000 0.500 0.000 1
O1 O 0.000 0.267 0.041 1
O2 O 0.239 0.474 0.750 1
```

Top 12 peaks for 15 to 90 degrees two-theta, by angle:
(hkl)	2theta	d_spacing	I/Imax
1 1 0	19.08	4.653	26
0 2 0	21.16	4.199	21
1 1 1	23.73	3.750	80
0 2 1	25.45	3.500	49
2 0 0	32.03	2.794	45
1 1 2	34.25	2.618	100
1 3 0	35.88	2.503	50
0 4 0	43.15	2.097	18
2 2 2	48.56	1.875	22
0 4 2	52.30	1.749	26
3 1 2	58.53	1.577	22
2 4 2	62.64	1.483	42

# 6
Theoretical powder diffractogram
Compound: Cu3NiC2O10
Radiation: CuKα
Structure: a GGA+U-relaxed structure

Structure:
```
data_Cu3NiC2O10
_chemical_formula_sum 'Cu6 Ni2 C4 O20'
_cell_length_a 3.033
_cell_length_b 8.959
_cell_length_c 12.356
_cell_angle_alpha 90.00
_cell_angle_beta 96.44
_cell_angle_gamma 90.00
_space_group_name_H-M_alt 'P 1 21 1'
_space_group_IT_number 4
_space_group_name_Hall 'P 2yb'
loop_
_atom_site_label
_atom_site_type_symbol
_atom_site_fract_x
_atom_site_fract_y
_atom_site_fract_z
_atom_site_occupancy
Cu1 Cu 0.016 0.000 0.033 1
Cu2 Cu 0.452 0.770 0.867 1
Cu3 Cu 0.479 0.001 0.465 1
Ni1 Ni 0.038 0.235 0.631 1
C1 C 0.239 0.777 0.617 1
C2 C 0.266 0.226 0.878 1
O1 O 0.036 0.394 0.097 1
O2 O 0.053 0.137 0.153 1
O3 O 0.128 0.845 0.522 1
O4 O 0.137 0.159 0.792 1
O5 O 0.189 0.631 0.617 1
O6 O 0.331 0.372 0.883 1
O7 O 0.362 0.850 0.701 1
O8 O 0.365 0.154 0.972 1
O9 O 0.450 0.871 0.345 1
O10 O 0.475 0.607 0.407 1
```

Top 12 peaks for 15 to 90 degrees two-theta, by angle:
(hkl)	2theta	d_spacing	I/Imax
0 1 2	17.51	5.064	76
0 1 3	23.90	3.723	19
0 2 2	24.60	3.619	62
1 0 1	31.37	2.852	41
0 2 4	35.45	2.532	63
1 2 -1	35.98	2.496	100
1 2 1	37.34	2.408	45
1 0 3	39.05	2.306	17
1 3 1	43.88	2.063	17
0 1 6	45.46	1.995	14
1 4 -3	54.35	1.688	23
1 4 3	57.34	1.607	19

# 7
Theoretical powder diffractogram
Compound: NaCo2BiO6
Radiation: CuKα
Structure: a GGA+U-relaxed structure

Structure:
```
data_NaCo2BiO6
_chemical_formula_sum 'Na3 Co6 Bi3 O18'
_cell_length_a 5.3601
_cell_length_b 5.3601
_cell_length_c 14.1202
_cell_angle_alpha 90.00
_cell_angle_beta 90.00
_cell_angle_gamma 120.00
_space_group_name_H-M_alt 'R 3'
_space_group_IT_number 146
_space_group_name_Hall 'R 3'
loop_
_atom_site_label
_atom_site_type_symbol
_atom_site_fract_x
_atom_site_fract_y
_atom_site_fract_z
_atom_site_occupancy
Na1 Na 0.0000 0.0000 0.0000 1
Co1 Co 0.0000 0.0000 0.2282 1
Co2 Co 0.0000 0.0000 0.7280 1
Bi1 Bi 0.0000 0.0000 0.5156 1
O1 O 0.0462 0.7036 0.7982 1
O2 O 0.0897 0.3445 0.2923 1
```

Top 12 peaks for 15 to 90 degrees two-theta, by angle:
(hkl)	2theta	d_spacing	I/Imax
0 0 3	18.85	4.707	39
1 0 1	20.14	4.410	100
0 1 2	22.93	3.879	33
1 0 4	31.85	2.810	90
1 1 0	33.43	2.680	81
0 1 5	37.27	2.413	21
2 -1 3	38.66	2.329	42
0 2 4	46.85	1.939	39
2 -1 6	51.69	1.768	34
2 1 1	52.56	1.741	17
3 -1 4	58.78	1.571	36
3 0 0	59.77	1.547	25

# 8
Theoretical powder diffractogram
Compound: Gd2NiRuO6
Radiation: CuKα
Structure: a GGA+U-relaxed structure

Structure:
```
data_Gd2NiRuO6
_chemical_formula_sum 'Gd4 Ni2 Ru2 O12'
_cell_length_a 5.366
_cell_length_b 5.739
_cell_length_c 9.372
_cell_angle_alpha 90.00
_cell_angle_beta 124.56
_cell_angle_gamma 90.00
_space_group_name_H-M_alt 'P 1 21/c 1'
_space_group_IT_number 14
_space_group_name_Hall '-P 2ybc'
loop_
_atom_site_label
_atom_site_type_symbol
_atom_site_fract_x
_atom_site_fract_y
_atom_site_fract_z
_atom_site_occupancy
Gd1 Gd 0.225 0.071 0.247 1
Ni1 Ni 0.000 0.000 0.500 1
Ru1 Ru 0.500 0.000 0.000 1
O1 O 0.138 0.192 0.947 1
O2 O 0.251 0.703 0.937 1
O3 O 0.369 0.045 0.753 1
```

Top 12 peaks for 15 to 90 degrees two-theta, by angle:
(hkl)	2theta	d_spacing	I/Imax
1 1 0	25.49	3.495	37
0 2 0	31.17	2.869	37
1 1 1	32.48	2.756	100
1 1 -3	32.64	2.743	100
2 0 -2	33.37	2.685	72
2 2 -2	46.33	1.960	33
0 0 4	47.09	1.930	27
1 3 0	52.13	1.755	31
0 2 4	57.56	1.601	16
3 1 -1	59.02	1.565	21
2 0 -6	59.15	1.562	16
3 1 -5	59.32	1.558	22